# Cs2Ga2Sn2H
Simulated powder diffraction line list, Cu Kα, 1.54184 Å. Input: a DFT-relaxed cell (GGA-PBE, Alexandria).

Crystal structure
Unit cell a=4.6545 b=7.1664 c=7.6268 alpha=100.79 beta=104.80 gamma=105.54
Space group P-1 (No. 2)
One atom of each set of equivalent atoms:
Cs  0.2446  0.3024  0.1766 (multiplicity 2)
Ga  0.0364  0.7500  0.4237 (multiplicity 2)
Sn  0.4528  0.1100  0.6967 (multiplicity 2)
H  0.0000  0.5000  0.5000 (multiplicity 1)

Peak list (12 most intense, 15° ≤ 2θ ≤ 90°, sorted by position)
h k l, d/Å, Position (°2θ), I (rel.)
0 1 -2, 3.560, 25.0, 51.9
1 -1 1, 3.444, 25.9, 72.9
0 2 -1, 3.384, 26.3, 54.2
0 2 0, 3.320, 26.9, 40.8
1 0 -2, 3.294, 27.1, 100.0
1 1 0, 3.134, 28.5, 72.8
1 1 -2, 2.948, 30.3, 42.6
1 -2 1, 2.922, 30.6, 67.5
-1 2 1, 2.877, 31.1, 42.8
0 1 2, 2.822, 31.7, 73.7
-2 1 1, 2.318, 38.9, 54.1
1 -1 3, 1.950, 46.6, 43.7

=====

# GaFe4Sb12
Simulated powder diffraction line list, Cu Kα, 1.54184 Å. Input: a DFT-relaxed cell (GGA-PBE, Alexandria).

Crystal structure
Unit cell a=9.1948 b=9.1948 c=9.1948 alpha=90.00 beta=90.00 gamma=90.00
Space group Im-3 (No. 204)
One atom of each set of equivalent atoms:
Ga  0.0000  0.0000  0.0000 (multiplicity 2)
Fe  0.2500  0.2500  0.2500 (multiplicity 8)
Sb  0.0000  0.3321  0.1606 (multiplicity 24)

Peak list (12 most intense, 15° ≤ 2θ ≤ 90°, sorted by position)
h k l, d/Å, Position (°2θ), I (rel.)
3 0 1, 2.908, 30.8, 100.0
3 1 2, 2.457, 36.6, 46.3
4 2 0, 2.056, 44.0, 16.7
3 3 2, 1.960, 46.3, 6.9
4 2 2, 1.877, 48.5, 19.6
4 3 1, 1.803, 50.6, 20.3
5 3 0, 1.577, 58.5, 20.7
6 0 0, 1.532, 60.4, 10.6
5 2 3, 1.492, 62.2, 7.2
6 1 3, 1.356, 69.3, 18.2
7 3 0, 1.207, 79.4, 6.8
6 5 3, 1.099, 89.1, 9.2

=====

# Ag4HBr5
Simulated powder diffraction line list, Cu Kα, 1.54184 Å. Input: a DFT-relaxed cell (GGA-PBE, Alexandria).

Crystal structure
Unit cell a=4.4440 b=4.4440 c=51.4185 alpha=90.00 beta=90.00 gamma=120.00
Space group R3m (No. 160, hexagonal axes)
One atom of each set of equivalent atoms:
Ag  0.0000  0.0000  0.0000 (multiplicity 3)
Ag  0.0000  0.0000  0.1885 (multiplicity 3)
Ag  0.0000  0.0000  0.5940 (multiplicity 3)
Ag  0.0000  0.0000  0.7828 (multiplicity 3)
H  0.0000  0.0000  0.3807 (multiplicity 3)
Br  0.0000  0.0000  0.1373 (multiplicity 3)
Br  0.0000  0.0000  0.3510 (multiplicity 3)
Br  0.0000  0.0000  0.5428 (multiplicity 3)
Br  0.0000  0.0000  0.7320 (multiplicity 3)
Br  0.0000  0.0000  0.9485 (multiplicity 3)

Peak list (12 most intense, 15° ≤ 2θ ≤ 90°, sorted by position)
h k l, d/Å, Position (°2θ), I (rel.)
0 0 12, 4.285, 20.7, 8.8
0 1 5, 3.604, 24.7, 100.0
0 0 15, 3.428, 26.0, 17.4
0 1 17, 2.378, 37.8, 26.2
1 1 0, 2.222, 40.6, 52.6
0 1 20, 2.138, 42.3, 21.5
1 0 22, 1.998, 45.4, 17.3
2 0 5, 1.891, 48.1, 15.7
1 1 15, 1.864, 48.8, 18.5
1 2 5, 1.440, 64.7, 12.5
1 0 37, 1.307, 72.3, 8.1
3 0 0, 1.283, 73.9, 8.5

=====

# Cs3Na2Hg8
Simulated powder diffraction line list, Cu Kα, 1.54184 Å. Input: a DFT-relaxed cell (GGA-PBE, Alexandria).

Crystal structure
Unit cell a=7.6774 b=8.2905 c=9.6547 alpha=84.55 beta=69.11 gamma=62.51
Space group P-1 (No. 2)
One atom of each set of equivalent atoms:
Cs  0.0000  0.0000  0.0000 (multiplicity 1)
Cs  0.3219  0.5200  0.3072 (multiplicity 2)
Na  0.3502  0.1730  0.6340 (multiplicity 2)
Hg  0.1038  0.5696  0.7682 (multiplicity 2)
Hg  0.1891  0.9075  0.5868 (multiplicity 2)
Hg  0.2677  0.0550  0.2702 (multiplicity 2)
Hg  0.3353  0.2732  0.9668 (multiplicity 2)

Peak list (12 most intense, 15° ≤ 2θ ≤ 90°, sorted by position)
h k l, d/Å, Position (°2θ), I (rel.)
0 1 1, 5.460, 16.2, 46.4
2 0 1, 3.405, 26.2, 66.7
2 2 1, 3.390, 26.3, 100.0
1 2 2, 3.250, 27.4, 83.5
2 0 0, 3.183, 28.0, 58.8
0 2 -2, 2.965, 30.1, 76.1
2 2 -1, 2.814, 31.8, 43.4
1 -1 3, 2.778, 32.2, 87.3
0 3 -1, 2.410, 37.3, 71.1
1 0 -3, 2.403, 37.4, 50.8
2 2 -2, 2.339, 38.5, 43.2
3 0 1, 2.253, 40.0, 50.6

=====

# Cs3Hg8Pb3
Simulated powder diffraction line list, Cu Kα, 1.54184 Å. Input: a DFT-relaxed cell (GGA-PBE, Alexandria).

Crystal structure
Unit cell a=19.4137 b=5.1415 c=11.3356 alpha=90.00 beta=115.86 gamma=90.00
Space group C2/m (No. 12)
One atom of each set of equivalent atoms:
Cs  0.0000  0.0000  0.0000 (multiplicity 2)
Cs  0.1876  0.5000  0.6331 (multiplicity 4)
Hg  0.0096  0.5000  0.6994 (multiplicity 4)
Hg  0.1126  0.0000  0.3635 (multiplicity 4)
Hg  0.1210  0.0000  0.8085 (multiplicity 4)
Hg  0.1464  0.5000  0.2423 (multiplicity 4)
Pb  0.0000  0.0000  0.5000 (multiplicity 2)
Pb  0.1985  0.5000  0.0126 (multiplicity 4)

Peak list (12 most intense, 15° ≤ 2θ ≤ 90°, sorted by position)
h k l, d/Å, Position (°2θ), I (rel.)
2 0 -2, 5.593, 15.8, 30.1
2 0 1, 5.547, 16.0, 30.4
1 1 2, 3.346, 26.6, 96.6
5 1 -2, 3.024, 29.5, 47.9
5 1 0, 2.890, 30.9, 69.0
5 1 -3, 2.744, 32.6, 100.0
3 1 2, 2.720, 32.9, 53.7
1 1 3, 2.651, 33.8, 43.6
0 2 0, 2.571, 34.9, 95.8
3 1 -4, 2.482, 36.2, 49.9
7 1 -2, 2.438, 36.9, 45.3
1 1 5, 1.809, 50.4, 31.6

=====

# LaMgIr3
Simulated powder diffraction line list, Cu Kα, 1.54184 Å. Input: a DFT-relaxed cell (GGA-PBE, Alexandria).

Crystal structure
Unit cell a=4.6439 b=4.6439 c=4.6439 alpha=90.00 beta=90.00 gamma=90.00
Space group Pm-3m (No. 221)
One atom of each set of equivalent atoms:
La  0.0000  0.0000  0.0000 (multiplicity 1)
Mg  0.5000  0.5000  0.5000 (multiplicity 1)
Ir  0.0000  0.5000  0.5000 (multiplicity 3)

Peak list (10 most intense, 15° ≤ 2θ ≤ 90°, sorted by position)
h k l, d/Å, Position (°2θ), I (rel.)
1 0 0, 4.644, 19.1, 3.9
1 1 1, 2.681, 33.4, 100.0
2 0 0, 2.322, 38.8, 58.2
2 1 0, 2.077, 43.6, 1.9
2 2 0, 1.642, 56.0, 40.4
3 0 0, 1.548, 59.7, 1.0
3 1 1, 1.400, 66.8, 41.4
2 2 2, 1.341, 70.2, 13.7
4 0 0, 1.161, 83.2, 6.6
4 1 0, 1.126, 86.4, 0.6

=====

# Pm4GePb3
Simulated powder diffraction line list, Cu Kα, 1.54184 Å. Input: a DFT-relaxed cell (GGA-PBE, Alexandria).

Crystal structure
Unit cell a=7.7994 b=7.7994 c=7.7994 alpha=90.00 beta=90.00 gamma=90.00
Space group I-43m (No. 217)
One atom of each set of equivalent atoms:
Pm  0.2149  0.2149  0.2149 (multiplicity 8)
Ge  0.0000  0.0000  0.0000 (multiplicity 2)
Pb  0.0000  0.0000  0.5000 (multiplicity 6)

Peak list (12 most intense, 15° ≤ 2θ ≤ 90°, sorted by position)
h k l, d/Å, Position (°2θ), I (rel.)
2 1 1, 3.184, 28.0, 17.3
2 2 0, 2.758, 32.5, 100.0
3 2 1, 2.084, 43.4, 5.4
4 0 0, 1.950, 46.6, 15.3
4 1 1, 1.838, 49.6, 9.1
4 2 0, 1.744, 52.5, 4.9
4 2 2, 1.592, 57.9, 28.5
4 3 1, 1.530, 60.5, 7.7
4 4 0, 1.379, 68.0, 7.7
6 0 0, 1.300, 72.7, 4.9
6 1 1, 1.265, 75.1, 4.9
6 2 0, 1.233, 77.4, 8.5

=====

# FeC
Simulated powder diffraction line list, Cu Kα, 1.54184 Å. Input: a DFT-relaxed cell (GGA-PBE, Alexandria).

Crystal structure
Unit cell a=3.5934 b=6.9989 c=2.5450 alpha=90.00 beta=90.00 gamma=90.00
Space group Cmcm (No. 63)
One atom of each set of equivalent atoms:
Fe  0.0000  0.1637  0.2500 (multiplicity 4)
C  0.0000  0.4420  0.2500 (multiplicity 4)

Peak list (12 most intense, 15° ≤ 2θ ≤ 90°, sorted by position)
h k l, d/Å, Position (°2θ), I (rel.)
0 2 0, 3.499, 25.5, 15.7
1 1 0, 3.197, 27.9, 27.3
0 2 1, 2.058, 44.0, 40.2
1 1 1, 1.991, 45.6, 100.0
1 3 0, 1.957, 46.4, 64.9
2 0 0, 1.797, 50.8, 28.1
0 4 0, 1.750, 52.3, 5.7
0 4 1, 1.442, 64.6, 17.9
2 2 1, 1.354, 69.4, 18.9
0 0 2, 1.273, 74.6, 7.8
1 5 1, 1.161, 83.2, 10.5
2 4 1, 1.125, 86.6, 14.9